Sr4CePrO8: calculated powder X-ray diffraction pattern (Cu Kα (λ = 1.5418 Å)), based on the GGA-PBE geometry in the Materials Project.
No peak broadening, texture or thermal motion is included.

Top 6 peaks for 2θ from 5° to 70°, most intense first:
h k l, Position (°2θ), d_spacing, Rel. int.
1 0 3, 29.5, 3.025, 100
1 0 -3, 29.4, 3.042, 29
0 1 2, 29.8, 3.002, 27
1 0 -1, 16.6, 5.334, 19
2 0 0, 28.8, 3.103, 19
0 0 6, 52.6, 1.740, 18

Crystal structure
```
data_Sr4CePrO8
_cell_length_a 6.2055
_cell_length_b 3.6695
_cell_length_c 10.4387
_cell_angle_alpha 90.00
_cell_angle_beta 90.32
_cell_angle_gamma 90.00
_space_group_name_H-M_alt 'P 1 2/m 1'
_space_group_IT_number 10
loop_
_space_group_symop_operation_xyz
'x,y,z'
'-x,-y,-z'
'-x,y,-z'
'x,-y,z'
loop_
_atom_site_label
_atom_site_fract_x
_atom_site_fract_y
_atom_site_fract_z
Sr1 0.0647 0.0000 0.3219
Sr2 0.4342 0.0000 0.8229
Ce1 0.0000 0.5000 0.0000
Pr1 0.5000 0.5000 0.5000
O1 0.1413 0.5000 0.8089
O2 0.2261 0.0000 0.0404
O3 0.2589 0.0000 0.5439
O4 0.3520 0.5000 0.2936
```